Diffraction record for Eu3TaO7. The powder diffractogram is simulated, not measured: it uses a GGA-PBE-relaxed structure and a wavelength of 1.5418 Å.

Top 10 peaks for 10° ≤ 2θ ≤ 90°, by intensity:
28.74°, rel. 100; 28.39°, rel. 99; 33.10°, rel. 72; 47.49°, rel. 57; 56.14°, rel. 43; 56.71°, rel. 27; 47.10°, rel. 17; 48.01°, rel. 14; 56.39°, rel. 13; 76.45°, rel. 10

Cell and atoms:
```
Eu3TaO7
1.0
3.7903 -5.4229 0.0000
3.7903 5.4229 0.0000
0.0000 0.0000 7.7178
Eu Ta O
6 2 14
Direct
0.0082 0.0082 0.0000
0.0304 0.4973 0.2517
0.4973 0.0304 0.7483
0.5027 0.9696 0.2483
0.9696 0.5027 0.7517
0.9918 0.9918 0.5000
0.5000 0.5000 0.0000
0.5000 0.5000 0.5000
0.1278 0.8722 0.7500
0.1379 0.8621 0.2500
0.1785 0.4232 0.9733
0.1870 0.4361 0.5326
0.4232 0.1785 0.0267
0.4361 0.1870 0.4674
0.4453 0.5547 0.2500
0.5547 0.4453 0.7500
0.5639 0.8131 0.9674
0.5768 0.8215 0.5267
0.8131 0.5639 0.0326
0.8215 0.5768 0.4733
0.8621 0.1379 0.7500
0.8722 0.1278 0.2500
```